Gd2W2O9: computed X-ray diffraction stick pattern (Cu Kα X-rays), based on the GGA+U geometry in Alexandria.

Largest 12 diffraction maxima, low angle first, 10 to 80 degrees two-theta:
d (Å)  I/Imax
4.797  21
3.554  15
3.378  100
3.209  54
3.149  48
3.054  67
2.907  28
2.862  28
2.564  19
2.011  23
1.967  16
1.821  18

Structure:
Lattice parameters (Å, degrees): 6.8226 7.1922 7.4849 70.74 84.26 82.72
Positions (direct):
1 Gd 0.1132 0.2938 0.3757
2 Gd 0.3444 0.7379 0.8470
3 Gd 0.6556 0.2621 0.1530
4 Gd 0.8868 0.7062 0.6243
5 W 0.2336 0.2617 0.9479
6 W 0.3407 0.7958 0.3665
7 W 0.6593 0.2042 0.6335
8 W 0.7664 0.7383 0.0521
9 O 0.0000 0.2427 0.0986
10 O 0.0000 0.7573 0.9014
11 O 0.1388 0.6420 0.3759
12 O 0.1717 0.4875 0.7502
13 O 0.1828 0.9062 0.5427
14 O 0.2315 0.0562 0.8552
15 O 0.3178 0.4296 0.0897
16 O 0.3538 0.0688 0.2166
17 O 0.4602 0.2991 0.4695
18 O 0.4678 0.7388 0.1424
19 O 0.5322 0.2612 0.8576
20 O 0.5398 0.7009 0.5305
21 O 0.6462 0.9312 0.7834
22 O 0.6822 0.5704 0.9103
23 O 0.7685 0.9438 0.1448
24 O 0.8172 0.0938 0.4573
25 O 0.8283 0.5125 0.2498
26 O 0.8612 0.3580 0.6241


K4NaCr3F12: computed X-ray diffraction stick pattern (Cu Kα X-rays), based on the GGA+U geometry in Alexandria.

Largest 12 diffraction maxima, low angle first, 10 to 80 degrees two-theta:
d (Å)  I/Imax
5.959  12
4.214  18
3.440  6
2.979  100
2.433  22
2.107  78
1.884  6
1.720  34
1.490  42
1.332  15
1.270  4
1.216  12

Structure:
Lattice parameters (Å, degrees): 7.2981 7.2981 7.2981 109.47 109.47 109.47
Positions (direct):
1 K 0.0000 0.0000 0.5000
2 K 0.0000 0.5000 0.0000
3 K 0.5000 0.0000 0.0000
4 K 0.5000 0.5000 0.5000
5 Na 0.0000 0.0000 0.0000
6 Cr 0.0000 0.5000 0.5000
7 Cr 0.5000 0.0000 0.5000
8 Cr 0.5000 0.5000 0.0000
9 F 0.0000 0.2672 0.2672
10 F 0.0000 0.7328 0.7328
11 F 0.2500 0.5000 0.7500
12 F 0.2500 0.7500 0.5000
13 F 0.2672 0.0000 0.2672
14 F 0.2672 0.2672 0.0000
15 F 0.5000 0.2500 0.7500
16 F 0.5000 0.7500 0.2500
17 F 0.7328 0.0000 0.7328
18 F 0.7328 0.7328 0.0000
19 F 0.7500 0.2500 0.5000
20 F 0.7500 0.5000 0.2500